Starting from a PBE-relaxed structure, the X-ray powder pattern of La3Tb2NdS6 was computed for CuKα.
Peak positions follow from Bragg's law for the DFT cell and can differ from measured ones.

Structure:
a b c (Å): 7.0287 7.0287 7.0660
angles (deg): 99.56 99.56 120.11
Positions (direct):
La  0.0000  0.0000  0.0000
La  0.3361  0.6639  0.0000
La  0.6639  0.3361  0.0000
Tb  0.1666  0.8334  0.5000
Tb  0.8334  0.1666  0.5000
Nd  0.5000  0.5000  0.5000
S  0.0802  0.4212  0.2632
S  0.2369  0.2369  0.7342
S  0.4212  0.0802  0.2632
S  0.5788  0.9198  0.7368
S  0.7631  0.7631  0.2658
S  0.9198  0.5788  0.7368

Top 6 peaks for 10 to 80 degrees two-theta, by angle:
3.332 Å, I = 190; 3.314 Å, I = 558; 2.874 Å, I = 1000; 2.036 Å, I = 362; 2.028 Å, I = 360; 1.730 Å, I = 155

=====

Starting from a PBE-relaxed structure, the X-ray powder pattern of LaNdTe2S was computed for CuKα.
Peak positions follow from Bragg's law for the DFT cell and can differ from measured ones.

Structure:
a b c (Å): 4.5635 4.5635 16.0673
angles (deg): 90.00 90.00 90.00
Positions (direct):
La  0.2500  0.2500  0.1020
La  0.7500  0.7500  0.8980
Nd  0.2500  0.2500  0.6151
Nd  0.7500  0.7500  0.3849
Te  0.2500  0.2500  0.4062
Te  0.2500  0.2500  0.8007
Te  0.7500  0.7500  0.1993
Te  0.7500  0.7500  0.5938
S  0.2500  0.7500  0.0000
S  0.7500  0.2500  0.0000

Top 6 peaks for 10 to 80 degrees two-theta, by angle:
4.017 Å, I = 260; 3.474 Å, I = 405; 3.227 Å, I = 1000; 2.516 Å, I = 478; 2.310 Å, I = 277; 2.281 Å, I = 625

=====

Starting from a PBE-relaxed structure, the X-ray powder pattern of LaNd4Tm3S8 was computed for CuKα.
Peak positions follow from Bragg's law for the DFT cell and can differ from measured ones.

Structure:
a b c (Å): 8.0471 8.0471 8.0471
angles (deg): 59.25 59.25 59.25
Positions (direct):
La  0.0000  0.0000  0.0000
Nd  0.0000  0.0000  0.5000
Nd  0.0000  0.5000  0.0000
Nd  0.5000  0.0000  0.0000
Nd  0.5000  0.5000  0.5000
Tm  0.0000  0.5000  0.5000
Tm  0.5000  0.0000  0.5000
Tm  0.5000  0.5000  0.0000
S  0.2512  0.2512  0.7330
S  0.2512  0.7330  0.2512
S  0.2575  0.2575  0.2575
S  0.2670  0.7488  0.7488
S  0.7330  0.2512  0.2512
S  0.7425  0.7425  0.7425
S  0.7488  0.2670  0.7488
S  0.7488  0.7488  0.2670

Top 6 peaks for 10 to 80 degrees two-theta, by angle:
3.304 Å, I = 205; 3.254 Å, I = 586; 2.829 Å, I = 1000; 2.012 Å, I = 365; 1.989 Å, I = 356; 1.704 Å, I = 197